Starting from DFT lattice parameters and positions (GGA-PBE), the X-ray powder pattern of Ba3BiIrRuO9 was calculated for Cu Ka.

Structural model:
Unit cell a=6.007 b=6.007 c=14.942 alpha=91.23 beta=91.23 gamma=119.66
Positions (direct):
Ba (0.008, 0.992, 0.500)
Ba (0.326, 0.661, 0.158)
Ba (0.343, 0.675, 0.845)
Ba (0.661, 0.326, 0.658)
Ba (0.675, 0.343, 0.345)
Ba (0.992, 0.008, 0.000)
Bi (0.001, 0.002, 0.251)
Bi (0.002, 0.001, 0.751)
Ir (0.354, 0.683, 0.416)
Ir (0.683, 0.354, 0.916)
Ru (0.318, 0.647, 0.585)
Ru (0.647, 0.318, 0.085)
O (0.031, 0.507, 0.487)
O (0.130, 0.783, 0.654)
O (0.135, 0.318, 0.646)
O (0.218, 0.870, 0.342)
O (0.220, 0.405, 0.320)
O (0.318, 0.135, 0.146)
O (0.405, 0.220, 0.820)
O (0.490, 0.508, 0.501)
O (0.493, 0.970, 0.513)
O (0.507, 0.031, 0.987)
O (0.508, 0.490, 0.001)
O (0.595, 0.780, 0.677)
O (0.685, 0.868, 0.352)
O (0.780, 0.595, 0.177)
O (0.783, 0.130, 0.154)
O (0.868, 0.685, 0.852)
O (0.870, 0.218, 0.842)
O (0.970, 0.493, 0.013)

The 6 most intense peaks (10 to 90 degrees two-theta), sorted by position:
two_theta	I (rel.)
28.90	38.4
29.47	34.5
29.62	50.5
29.75	100.0
29.95	29.1
52.65	24.8